[1]
This entry pairs a crystal structure of Ca2Pr2Nd3 with its theoretical powder X-ray diffraction pattern. Radiation: Cu Kα (weighted mean of Kα1 and Kα2). Structure: the PBE geometry in Alexandria.
No peak broadening, texture or thermal motion is included.

Principal peaks in the range 10 to 90 degrees two-theta, sorted by position:
2θ (°), intensity, (hkl)
29.2, 100.0, 3 1 -1
29.5, 98.9, 1 1 2
33.7, 34.7, 0 2 0
34.1, 33.3, 2 0 -3
34.3, 32.6, 4 0 1
48.8, 35.4, 4 2 1

Crystal structure
Cell: 11.762 5.327 8.288 Å, 90.00 98.86 90.00°
Space group C2/m (No. 12)
Unique sites:
Ca: 0.069 0.000 0.214
Pr: 0.218 0.000 0.644
Nd: 0.000 0.500 0.500
Nd: 0.150 0.500 0.925

---

[2]
This entry pairs a crystal structure of TmGe2Pt7 with its theoretical powder X-ray diffraction pattern. Radiation: Cu Kα (weighted mean of Kα1 and Kα2). Structure: the PBE geometry in Alexandria.
No peak broadening, texture or thermal motion is included.

Principal peaks in the range 10 to 90 degrees two-theta, sorted by position:
2θ (°), intensity, (hkl)
31.0, 21.5, 1 1 0
35.7, 21.8, 1 1 4
40.9, 100.0, 1 1 6
44.4, 50.7, 2 0 0
64.6, 16.8, 2 2 0
79.3, 29.6, 3 1 6

Crystal structure
Cell: 4.083 4.083 20.512 Å, 90.00 90.00 90.00°
Space group I4/mmm (No. 139)
Unique sites:
Tm: 0.000 0.000 0.000
Ge: 0.000 0.000 0.325
Pt: 0.000 0.000 0.500
Pt: 0.000 0.500 0.102
Pt: 0.000 0.500 0.250

---

[3]
This entry pairs a crystal structure of CsKAuF with its theoretical powder X-ray diffraction pattern. Radiation: Cu Kα (weighted mean of Kα1 and Kα2). Structure: the PBE geometry in Alexandria.
No peak broadening, texture or thermal motion is included.

Principal peaks in the range 10 to 90 degrees two-theta, sorted by position:
2θ (°), intensity, (hkl)
19.3, 57.0, 1 1 1
31.8, 100.0, 2 2 0
37.5, 34.0, 3 1 1
45.6, 18.1, 4 0 0
56.7, 37.5, 4 2 2
75.6, 16.0, 6 2 0

Crystal structure
Cell: 7.951 7.951 7.951 Å, 90.00 90.00 90.00°
Space group F-43m (No. 216)
Unique sites:
Cs: 0.000 0.000 0.000
K: 0.000 0.000 0.500
Au: 0.250 0.250 0.750
F: 0.250 0.250 0.250